1.
For PmScTcO6, a crystal structure in Alexandria, relaxed with GGA-PBE gives the theoretical powder diffraction line list in this record (Cu Kα).
Peak positions follow from Bragg's law for the DFT cell and can differ from measured ones.

The 10 most intense peaks (2θ from 10° to 90°), low angle first:
Position (°2θ)	intensity	h k l
18.63	27.9	1 0 0
20.10	51.6	0 0 2
27.53	100.0	1 0 2
32.56	68.1	1 1 0
38.56	66.2	1 1 2
43.15	28.8	2 0 2
53.18	59.6	1 1 4
55.08	27.4	2 1 2
58.09	25.6	3 0 0
62.11	14.7	3 0 2

Structure:
```
data_PmScTcO6
_cell_length_a 5.5006
_cell_length_b 5.5006
_cell_length_c 8.8370
_cell_angle_alpha 90.00
_cell_angle_beta 90.00
_cell_angle_gamma 120.00
_space_group_name_H-M_alt 'P -3 1 c'
_space_group_IT_number 163
_space_group_name_Hall '-P 3 2c'
loop_
_atom_site_label
_atom_site_type_symbol
_atom_site_fract_x
_atom_site_fract_y
_atom_site_fract_z
_atom_site_occupancy
Pm1 Pm 0.3333 0.6667 0.2500 1
Sc1 Sc 0.0000 0.0000 0.0000 1
Tc1 Tc 0.3333 0.6667 0.7500 1
O1 O 0.0581 0.3616 0.6258 1
```


2.
For PmSe2O5, a crystal structure in Alexandria, relaxed with GGA-PBE gives the theoretical powder diffraction line list in this record (Cu Kα).
Peak positions follow from Bragg's law for the DFT cell and can differ from measured ones.

The 10 most intense peaks (2θ from 10° to 90°), low angle first:
Position (°2θ)	intensity	h k l
14.65	19.9	1 1 0
19.14	53.8	1 1 1
23.76	49.6	1 2 1
27.25	25.6	1 3 0
28.79	100.0	1 1 2
29.57	25.8	2 2 0
29.98	45.7	1 3 1
42.83	19.8	3 2 1
46.82	27.4	3 3 1
56.94	20.7	4 0 2

Structure:
```
data_PmSe2O5
_cell_length_a 7.239
_cell_length_b 11.005
_cell_length_c 7.220
_cell_angle_alpha 90.00
_cell_angle_beta 90.00
_cell_angle_gamma 90.00
_space_group_name_H-M_alt 'P b c n'
_space_group_IT_number 60
_space_group_name_Hall '-P 2n 2ab'
loop_
_atom_site_label
_atom_site_type_symbol
_atom_site_fract_x
_atom_site_fract_y
_atom_site_fract_z
_atom_site_occupancy
Pm1 Pm 0.000 0.067 0.250 1
Se1 Se 0.118 0.360 0.031 1
O1 O 0.000 0.429 0.250 1
O2 O 0.166 0.064 0.536 1
O3 O 0.174 0.223 0.130 1
```


3.
For Pm3Se3O, a crystal structure in Alexandria, relaxed with GGA-PBE gives the theoretical powder diffraction line list in this record (Cu Kα).
Peak positions follow from Bragg's law for the DFT cell and can differ from measured ones.

The 10 most intense peaks (2θ from 10° to 90°), low angle first:
Position (°2θ)	intensity	h k l
25.69	52.6	3 0 2
26.24	38.3	2 1 0
26.61	44.8	1 1 2
26.81	55.5	0 0 4
30.63	58.3	1 1 3
31.76	100.0	3 1 1
33.23	38.6	2 1 3
37.86	84.3	2 1 4
43.20	39.2	2 1 5
44.30	62.2	0 2 0

Structure:
```
data_Pm3Se3O
_cell_length_a 12.193
_cell_length_b 4.089
_cell_length_c 13.303
_cell_angle_alpha 90.00
_cell_angle_beta 90.00
_cell_angle_gamma 90.00
_space_group_name_H-M_alt 'P n m a'
_space_group_IT_number 62
_space_group_name_Hall '-P 2ac 2n'
loop_
_atom_site_label
_atom_site_type_symbol
_atom_site_fract_x
_atom_site_fract_y
_atom_site_fract_z
_atom_site_occupancy
Pm1 Pm 0.024 0.250 0.160 1
Pm2 Pm 0.101 0.250 0.614 1
Pm3 Pm 0.238 0.250 0.870 1
Se1 Se 0.074 0.250 0.389 1
Se2 Se 0.143 0.750 0.009 1
Se3 Se 0.236 0.750 0.708 1
O1 O 0.056 0.250 0.799 1
```


4.
For Pm5Se2O12, a crystal structure in Alexandria, relaxed with GGA-PBE gives the theoretical powder diffraction line list in this record (Cu Kα).
Peak positions follow from Bragg's law for the DFT cell and can differ from measured ones.

The 10 most intense peaks (2θ from 10° to 90°), low angle first:
Position (°2θ)	intensity	h k l
26.47	92.8	3 1 0
27.83	100.0	1 1 -2
29.43	33.3	0 2 0
31.56	22.4	3 1 -2
32.44	48.7	2 0 2
44.36	37.8	2 2 2
48.25	25.8	2 0 -4
51.23	18.2	1 3 -2
54.13	24.4	6 2 -2
55.85	20.9	1 1 4

Structure:
```
data_Pm5Se2O12
_cell_length_a 12.718
_cell_length_b 6.070
_cell_length_c 7.548
_cell_angle_alpha 90.00
_cell_angle_beta 107.32
_cell_angle_gamma 90.00
_space_group_name_H-M_alt 'C 1 2/m 1'
_space_group_IT_number 12
_space_group_name_Hall '-C 2y'
loop_
_atom_site_label
_atom_site_type_symbol
_atom_site_fract_x
_atom_site_fract_y
_atom_site_fract_z
_atom_site_occupancy
Pm1 Pm 0.000 0.000 0.000 1
Pm2 Pm 0.194 0.500 0.332 1
Pm3 Pm 0.197 0.500 0.860 1
Se1 Se 0.000 0.243 0.500 1
O1 O 0.001 0.000 0.677 1
O2 O 0.001 0.500 0.311 1
O3 O 0.154 0.249 0.076 1
O4 O 0.161 0.262 0.579 1
```